The following is a computed powder diffraction line list of La4Ga3FeO12. It was derived from a structure optimized by DFT (PBE+U), using copper Kα.
No peak broadening, texture or thermal motion is included.

Atomic structure:
```
La4Ga3FeO12
1.0
5.5487 0.0000 0.0000
0.0036 5.5520 0.0000
0.0020 0.0188 7.8469
La Ga Fe O
4 3 1 12
Direct
0.0064 0.0301 0.2483
0.4932 0.5325 0.2479
0.5068 0.4675 0.7521
0.9936 0.9699 0.7517
0.0000 0.5000 0.0000
0.0000 0.5000 0.5000
0.5000 0.0000 0.5000
0.5000 0.0000 0.0000
0.0727 0.5118 0.7515
0.2174 0.7839 0.4609
0.2200 0.7835 0.0396
0.2831 0.2832 0.4601
0.2840 0.2800 0.0409
0.4242 0.0156 0.7530
0.5758 0.9844 0.2470
0.7160 0.7200 0.9591
0.7169 0.7168 0.5399
0.7800 0.2165 0.9604
0.7826 0.2161 0.5391
0.9273 0.4882 0.2485
```

Top 10 peaks for 10 to 90 degrees two-theta, by angle:
| d_spacing | two_theta | Rel. int. | h k l |
| --- | --- | --- | --- |
| 3.924 | 22.7 | 9 | 0 0 2 |
| 2.775 | 32.3 | 100 | -1 1 2 |
| 2.266 | 39.8 | 11 | 2 0 -2 |
| 1.962 | 46.3 | 28 | 0 0 4 |
| 1.603 | 57.5 | 20 | 3 1 2 |
| 1.601 | 57.6 | 20 | 3 1 -2 |
| 1.388 | 67.5 | 10 | 4 0 0 |
| 1.386 | 67.6 | 5 | 2 2 -4 |
| 1.241 | 76.8 | 8 | -1 1 6 |
| 1.240 | 76.9 | 6 | 1 -1 6 |